[1]
Structure and computed X-ray diffraction stick pattern of PmY5Ho (a cell relaxed with GGA-PBE; a wavelength of 1.5418 Å).
Peak positions follow from Bragg's law for the DFT cell and can differ from measured ones.

Peak list (10 most intense, 10° ≤ 2θ ≤ 80°, by intensity)
2θ (°)  Rel. int.
31.89  100
32.29  49
31.55  49
28.80  32
32.40  30
24.95  26
32.01  23
57.03  20
45.85  18
22.04  16

Crystal structure
```
PmY5Ho
1.0
4.404 -4.845 0.000
4.404 4.845 0.000
-4.061 0.000 10.830
Pm Y Ho
2 10 2
Direct
0.000 0.500 0.000 Pm
0.500 0.000 0.500 Pm
0.068 0.273 0.536 Y
0.087 0.913 0.250 Y
0.273 0.068 0.036 Y
0.306 0.446 0.334 Y
0.446 0.306 0.834 Y
0.554 0.694 0.166 Y
0.694 0.554 0.666 Y
0.727 0.932 0.964 Y
0.913 0.087 0.750 Y
0.932 0.727 0.464 Y
0.257 0.743 0.750 Ho
0.743 0.257 0.250 Ho
```

***

[2]
Structure and computed X-ray diffraction stick pattern of SmCl5 (a cell relaxed with GGA-PBE; a wavelength of 1.5418 Å).
Peak positions follow from Bragg's law for the DFT cell and can differ from measured ones.

Peak list (10 most intense, 10° ≤ 2θ ≤ 80°, by intensity)
2θ (°)  Rel. int.
19.25  100
18.55  91
25.93  91
18.42  81
16.38  63
21.97  60
31.62  50
33.10  39
33.96  39
25.52  31

Crystal structure
```
SmCl5
1.0
4.125 0.000 0.000
0.037 5.419 0.000
1.900 0.488 9.567
Sm Cl
1 5
Direct
0.000 0.000 0.000 Sm
0.000 0.500 0.000 Cl
0.097 0.370 0.435 Cl
0.414 0.983 0.187 Cl
0.586 0.017 0.813 Cl
0.903 0.630 0.565 Cl
```

***

[3]
Structure and computed X-ray diffraction stick pattern of La8Ni2Pd (a cell relaxed with GGA-PBE; a wavelength of 1.5418 Å).
Peak positions follow from Bragg's law for the DFT cell and can differ from measured ones.

Peak list (10 most intense, 10° ≤ 2θ ≤ 80°, by intensity)
2θ (°)  Rel. int.
29.45  100
33.11  48
30.52  43
28.08  42
31.93  42
35.84  41
26.37  37
31.13  35
37.91  35
51.04  31

Crystal structure
```
La8Ni2Pd
1.0
4.172 -6.480 0.000
4.172 6.480 0.000
-2.135 0.000 6.217
La Ni Pd
8 2 1
Direct
0.000 0.000 0.000 La
0.127 0.533 0.174 La
0.277 0.990 0.560 La
0.445 0.716 0.825 La
0.533 0.127 0.174 La
0.715 0.715 0.401 La
0.716 0.445 0.825 La
0.990 0.277 0.560 La
0.062 0.688 0.730 Ni
0.688 0.062 0.730 Ni
0.368 0.368 0.424 Pd
```